(1)
Theoretical X-ray powder pattern of CoS2 for Cu Kα X-rays, from a crystal structure in the Materials Project, relaxed with GGA-PBE.
Lines closer than 0.1° are merged.

```
CoS2
1.0
-2.5436 2.5436 4.8557
2.5436 -2.5436 4.8557
2.5436 2.5436 -4.8557
Co S
2 4
Cartesian
0.0000 0.0000 0.0000
0.0000 2.5436 2.4278
3.8154 1.1087 -1.2139
1.1087 1.2718 1.2139
-1.2718 1.4349 3.6418
1.4349 1.2718 6.0696
```

Peak list (10 most intense, 2θ = 10–90°, by angle)
two_theta, Rel. int.
19.70, 100
30.94, 100
32.79, 15
40.73, 18
48.93, 17
50.76, 21
52.08, 39
60.64, 23
62.95, 18
85.01, 9

***

(2)
Theoretical X-ray powder pattern of Co3S for Cu Kα X-rays, from a crystal structure in the Materials Project, relaxed with GGA-PBE.
Lines closer than 0.1° are merged.

```
Co3S
1.0
5.1544 0.0000 0.0000
-2.5772 4.4639 0.0000
0.0000 0.0000 3.9230
Co S
6 2
Cartesian
0.0000 1.4986 0.9808
-1.2794 3.7146 0.9808
1.2978 0.7493 2.9423
1.2794 3.7146 0.9808
3.8566 0.7493 2.9423
2.5772 2.9653 2.9423
0.0000 2.9759 2.9423
2.5772 1.4880 0.9808
```

Peak list (10 most intense, 2θ = 10–90°, by angle)
two_theta, Rel. int.
19.89, 2
30.33, 7
34.81, 3
40.41, 26
46.29, 23
46.83, 100
63.10, 13
73.49, 16
86.20, 15
87.39, 2

***

(3)
Theoretical X-ray powder pattern of CoS2 for Cu Kα X-rays, from a crystal structure in the Materials Project, relaxed with GGA-PBE.
Lines closer than 0.1° are merged.

```
CoS2
1.0
1.6049 0.9266 7.1001
-1.6049 0.9266 7.1001
0.0000 -1.8531 7.1001
Co S
1 2
Cartesian
0.0000 0.0000 0.0000
0.0000 0.0000 8.3695
0.0000 0.0000 12.9309
```

Peak list (10 most intense, 2θ = 10–90°, by angle)
two_theta, Rel. int.
12.47, 100
33.31, 19
38.68, 32
44.13, 5
47.27, 11
54.25, 10
57.42, 9
59.01, 9
66.21, 5
71.39, 5

***

(4)
Theoretical X-ray powder pattern of CoS2 for Cu Kα X-rays, from a crystal structure in the Materials Project, relaxed with GGA-PBE.
Lines closer than 0.1° are merged.

```
CoS2
1.0
5.4444 0.0000 0.0000
0.0000 5.5685 0.0000
0.0000 0.0000 5.5395
Co S
4 8
Cartesian
0.0000 0.0000 0.0000
0.0000 2.7842 2.7697
2.7222 0.0000 2.7697
2.7222 2.7842 0.0000
0.6160 0.6234 2.1534
0.6160 2.1608 4.9231
2.1062 3.4077 2.1534
2.1062 4.9451 4.9231
3.3382 0.6234 0.6163
3.3382 2.1608 3.3861
4.8284 3.4077 0.6163
4.8284 4.9451 3.3861
```

Peak list (10 most intense, 2θ = 10–90°, by angle)
two_theta, Rel. int.
28.01, 100
32.15, 89
32.32, 89
32.90, 81
46.23, 47
46.66, 46
46.79, 45
54.82, 88
55.04, 86
55.80, 85

***

(5)
Theoretical X-ray powder pattern of CoS for Cu Kα X-rays, from a crystal structure in the Materials Project, relaxed with GGA-PBE.
Lines closer than 0.1° are merged.

```
CoS
1.0
3.3466 0.0000 0.0000
-1.6733 2.8983 0.0000
0.0000 0.0000 5.1388
Co S
2 2
Cartesian
0.0000 0.0000 0.0000
0.0000 0.0000 2.5694
0.0000 1.9322 1.2847
1.6733 0.9661 3.8541
```

Peak list (10 most intense, 2θ = 10–90°, by angle)
two_theta, Rel. int.
30.85, 59
34.92, 6
35.56, 31
47.28, 100
54.87, 45
63.04, 5
64.28, 6
73.75, 6
75.29, 23
82.05, 6

***

(6)
Theoretical X-ray powder pattern of CoS for Cu Kα X-rays, from a crystal structure in the Materials Project, relaxed with GGA-PBE.
Lines closer than 0.1° are merged.

```
CoS
1.0
3.6330 0.0000 0.0000
0.0000 3.6330 0.0000
0.0000 0.0000 5.1795
Co S
2 2
Cartesian
0.9083 2.7248 0.0000
2.7248 0.9083 0.0000
0.9083 0.9083 1.2149
2.7248 2.7248 3.9646
```

Peak list (10 most intense, 2θ = 10–90°, by angle)
two_theta, Rel. int.
17.12, 100
30.04, 26
34.93, 7
39.14, 38
50.01, 45
50.22, 22
53.45, 18
65.09, 11
73.77, 7
86.84, 6

***

(7)
Theoretical X-ray powder pattern of CoSeS for Cu Kα X-rays, from a crystal structure in the Materials Project, relaxed with GGA-PBE.
Lines closer than 0.1° are merged.

```
CoSeS
1.0
5.6682 0.0000 0.0000
0.0000 5.6682 0.0000
0.0000 0.0000 5.6682
Co Se S
4 4 4
Cartesian
0.0511 0.0511 0.0511
2.7830 5.6171 2.8852
2.8852 2.7830 5.6171
5.6171 2.8852 2.7830
0.6995 3.5336 4.9687
2.1346 2.1346 2.1346
3.5336 4.9687 0.6995
4.9687 0.6995 3.5336
0.6816 4.9866 2.1525
2.1525 0.6816 4.9866
3.5157 3.5157 3.5157
4.9866 2.1525 0.6816
```

Peak list (10 most intense, 2θ = 10–90°, by angle)
two_theta, Rel. int.
22.18, 16
31.57, 39
35.41, 100
38.92, 64
45.25, 24
53.63, 77
58.73, 21
61.18, 33
77.11, 18
89.94, 23

***

(8)
Theoretical X-ray powder pattern of U2CoSe2S3 for Cu Kα X-rays, from a crystal structure in the Materials Project, relaxed with GGA-PBE.
Lines closer than 0.1° are merged.

```
U2CoSe2S3
1.0
7.3573 -3.1184 0.0000
7.3573 3.1184 0.0000
-0.9281 0.0000 7.0742
U Co Se S
4 2 4 6
Cartesian
5.0670 1.7106 6.4924
8.2555 1.7106 4.1190
5.5310 -1.7106 2.9553
8.7195 -1.7106 0.5819
3.2146 1.5592 3.5371
3.6786 -1.5592 0.0000
2.4758 0.5162 5.7123
2.9398 -0.5162 2.1752
10.8467 0.5162 4.8990
11.3107 -0.5162 1.3619
7.1253 2.5944 1.7686
5.4990 0.7454 4.0669
7.8235 0.7454 6.5444
5.9630 -0.7454 0.5298
8.2875 -0.7454 3.0073
6.6612 -2.5944 5.3057
```

Peak list (10 most intense, 2θ = 10–90°, by angle)
two_theta, Rel. int.
20.43, 98
25.25, 100
26.54, 35
27.57, 49
28.63, 31
36.97, 30
37.68, 52
40.62, 49
41.54, 24
48.68, 44

***

(9)
Theoretical X-ray powder pattern of Ti2CoS4 for Cu Kα X-rays, from a crystal structure in the Materials Project, relaxed with GGA-PBE.
Lines closer than 0.1° are merged.

```
Ti2CoS4
1.0
6.2720 -1.6914 0.0000
6.2720 1.6914 0.0000
-2.6690 0.0000 5.1766
Ti Co S
2 1 4
Cartesian
2.4285 0.0000 1.2172
7.4466 0.0000 3.9594
4.9375 0.0000 2.5883
0.2806 0.0000 2.3796
4.6839 0.0000 0.2917
5.1912 0.0000 4.8849
9.5944 0.0000 2.7970
```

Peak list (10 most intense, 2θ = 10–90°, by angle)
two_theta, Rel. int.
17.19, 71
27.55, 22
30.56, 37
34.59, 84
34.86, 37
44.85, 100
45.00, 86
45.18, 28
54.23, 33
54.50, 64

***

(10)
Theoretical X-ray powder pattern of Ti3CoS6 for Cu Kα X-rays, from a crystal structure in the Materials Project, relaxed with GGA-PBE.
Lines closer than 0.1° are merged.

```
Ti3CoS6
1.0
5.7601 0.0000 0.0000
-2.8800 4.9884 0.0000
0.0000 0.0000 11.4379
Ti Co S
6 2 12
Cartesian
0.0000 0.0000 0.0000
0.0000 0.0000 5.7189
0.0000 3.3256 0.0573
0.0000 3.3256 5.6616
2.8800 1.6628 5.7763
2.8800 1.6628 11.3805
0.0000 3.3256 8.5784
2.8800 1.6628 2.8595
-0.9182 1.7063 7.2218
-1.8614 3.3401 9.9351
0.9182 1.7063 9.9351
-0.9433 4.9304 7.2218
1.9368 0.0580 4.2161
1.0186 1.6483 1.5028
1.8614 3.3401 7.2218
0.9433 4.9304 9.9351
3.8233 0.0580 1.5028
1.9619 3.2821 4.2161
4.7415 1.6483 4.2161
3.7982 3.2821 1.5028
```

Peak list (10 most intense, 2θ = 10–90°, by angle)
two_theta, Rel. int.
15.49, 14
19.41, 35
31.05, 18
32.05, 41
34.88, 18
39.20, 29
44.66, 100
55.24, 44
65.28, 12
73.66, 20

***

(11)
Theoretical X-ray powder pattern of Ti3CoS6 for Cu Kα X-rays, from a crystal structure in the Materials Project, relaxed with GGA-PBE.
Lines closer than 0.1° are merged.

```
Ti3CoS6
1.0
2.9303 1.6918 5.6277
-2.9303 1.6918 5.6277
0.0000 -3.3836 5.6277
Ti Co S
3 1 6
Cartesian
0.0000 0.0000 0.0000
0.0000 0.0000 5.5815
0.0000 0.0000 11.3015
0.0000 0.0000 8.4415
-1.9228 0.0108 7.0876
-0.9708 -1.6598 9.7954
0.9520 -1.6706 7.0876
-0.9521 1.6706 9.7954
0.9708 1.6598 7.0876
1.9228 -0.0108 9.7954
```

Peak list (10 most intense, 2θ = 10–90°, by angle)
two_theta, Rel. int.
15.75, 15
18.25, 24
20.42, 18
30.51, 18
34.51, 85
44.65, 100
54.22, 45
58.41, 14
65.87, 12
72.77, 21

***

(12)
Theoretical X-ray powder pattern of Ti4CoS8 for Cu Kα X-rays, from a crystal structure in the Materials Project, relaxed with GGA-PBE.
Lines closer than 0.1° are merged.

```
Ti4CoS8
1.0
5.6324 -3.4090 0.0000
5.6324 3.4090 0.0000
-5.6243 0.0000 5.8616
Ti Co S
4 1 8
Cartesian
-0.0608 0.0000 2.8947
5.6324 1.7553 0.0000
5.6324 -1.7553 0.0000
5.7012 0.0000 2.9669
2.8202 0.0000 2.9308
-4.1670 0.0000 4.8990
1.4684 1.6723 1.9653
4.1721 1.6723 3.8963
4.2201 0.0000 1.0084
1.4204 0.0000 4.8532
1.4684 -1.6723 1.9653
4.1721 -1.6723 3.8963
9.8074 0.0000 0.9626
```

Peak list (10 most intense, 2θ = 10–90°, by angle)
two_theta, Rel. int.
15.73, 37
16.98, 33
34.35, 100
34.48, 49
44.50, 95
44.63, 47
53.78, 23
54.10, 45
58.25, 15
72.39, 20

***

(13)
Theoretical X-ray powder pattern of U8CoS17 for Cu Kα X-rays, from a crystal structure in the Materials Project, relaxed with GGA-PBE.
Lines closer than 0.1° are merged.

```
U8CoS17
1.0
6.5698 -4.1342 0.0000
6.5698 4.1342 0.0000
-2.0460 0.0000 10.0366
U Co S
8 1 17
Cartesian
4.1574 2.1356 7.9923
0.7050 0.0000 9.5697
6.9363 2.1356 2.0444
3.1846 0.0000 4.8523
7.9091 0.0000 5.1843
4.1574 -2.1356 7.9923
10.3887 0.0000 0.4670
6.9363 -2.1356 2.0444
-1.0230 0.0000 5.0183
0.0000 0.0000 0.0000
-0.7538 0.0000 7.2412
3.7522 2.5835 5.3002
4.8341 1.5975 0.3472
2.3409 0.0000 2.2145
2.4247 0.0000 7.4573
7.3415 2.5835 4.7365
6.2595 1.5975 9.6895
5.6132 0.0000 3.3159
5.4804 0.0000 6.7207
4.8341 -1.5975 0.3472
3.7522 -2.5835 5.3002
8.6689 0.0000 2.5794
8.7528 0.0000 7.8222
6.2595 -1.5975 9.6895
7.3415 -2.5835 4.7365
11.8474 0.0000 2.7954
```

Peak list (10 most intense, 2θ = 10–90°, by angle)
two_theta, Rel. int.
20.15, 42
24.57, 57
25.61, 100
26.19, 66
26.46, 38
27.97, 91
35.76, 43
38.88, 46
41.10, 48
43.80, 39